Diffraction record for Sr2Si3Pt5. The powder diffractogram is computed, not measured: it uses a PBE-relaxed structure and Cu Kα (weighted mean of Kα1 and Kα2).
Peak positions follow from Bragg's law for the DFT cell and can differ from measured ones.

```
data_Sr2Si3Pt5
_symmetry_space_group_name_H-M 'I b a m'
_symmetry_Int_Tables_number 72
_symmetry_space_group_name_Hall '-I 2 2c'
_cell_length_a 9.5100
_cell_length_b 12.6106
_cell_length_c 6.4167
_cell_angle_alpha 90.00
_cell_angle_beta 90.00
_cell_angle_gamma 90.00
loop_
_atom_site_label
_atom_site_fract_x
_atom_site_fract_y
_atom_site_fract_z
Sr1 0.2425 0.1332 0.0000
Si1 0.0000 0.0000 0.2500
Si2 0.1262 0.3823 0.0000
Pt1 0.0000 0.2757 0.2500
Pt2 0.0000 0.5000 0.2500
Pt3 0.1209 0.1114 0.5000
```

Main lines, sorted by position (2θ = 10–80°):
(2 0 0), 18.7 deg, intensity 55; (3 1 0), 29.0 deg, intensity 30; (1 1 2), 30.2 deg, intensity 58; (2 0 2), 33.7 deg, intensity 75; (2 4 0), 34.1 deg, intensity 58; (3 2 1), 34.6 deg, intensity 60; (1 5 0), 36.9 deg, intensity 46; (0 4 2), 40.1 deg, intensity 100; (4 0 2), 47.6 deg, intensity 37; (4 4 0), 47.9 deg, intensity 29

***

Diffraction record for NaAlN. The powder diffractogram is computed, not measured: it uses a PBE-relaxed structure and Cu Kα (weighted mean of Kα1 and Kα2).
Peak positions follow from Bragg's law for the DFT cell and can differ from measured ones.

```
data_NaAlN
_symmetry_space_group_name_H-M 'C m c 21'
_symmetry_Int_Tables_number 36
_cell_length_a 3.1662
_cell_length_b 5.4949
_cell_length_c 14.0299
_cell_angle_alpha 90.00
_cell_angle_beta 90.00
_cell_angle_gamma 90.00
loop_
_symmetry_equiv_pos_as_xyz
'x,y,z'
'-x,-y,z+1/2'
'-x,y,z'
'x,-y,z+1/2'
'x+1/2,y+1/2,z'
'-x+1/2,-y+1/2,z+1/2'
'-x+1/2,y+1/2,z'
'x+1/2,-y+1/2,z+1/2'
loop_
_atom_site_label
_atom_site_fract_x
_atom_site_fract_y
_atom_site_fract_z
Na1 0.0000 0.0031 0.0000
Al1 0.0000 0.3117 0.7508
N1 0.0000 0.3552 0.2510
```

Main lines, sorted by position (2θ = 10–80°):
(0 0 2), 12.6 deg, intensity 42; (0 0 4), 25.4 deg, intensity 89; (1 1 1), 33.3 deg, intensity 8; (0 2 2), 35.1 deg, intensity 100; (0 2 6), 51.3 deg, intensity 30; (0 0 8), 52.2 deg, intensity 10; (2 0 0), 58.2 deg, intensity 20; (2 0 4), 64.5 deg, intensity 28; (2 2 2), 69.9 deg, intensity 8; (0 2 10), 76.2 deg, intensity 8

***

Diffraction record for SrEr2PuSe4. The powder diffractogram is computed, not measured: it uses a PBE-relaxed structure and Cu Kα (weighted mean of Kα1 and Kα2).
Peak positions follow from Bragg's law for the DFT cell and can differ from measured ones.

```
data_SrEr2PuSe4
_symmetry_space_group_name_H-M 'I -4 m 2'
_symmetry_Int_Tables_number 119
_symmetry_space_group_name_Hall 'I -4 -2'
_cell_length_a 5.8743
_cell_length_b 5.8743
_cell_length_c 11.7529
_cell_angle_alpha 90.00
_cell_angle_beta 90.00
_cell_angle_gamma 90.00
loop_
_atom_site_label
_atom_site_fract_x
_atom_site_fract_y
_atom_site_fract_z
Sr1 0.0000 0.0000 0.0000
Er1 0.0000 0.0000 0.5000
Er2 0.0000 0.5000 0.2500
Pu1 0.0000 0.5000 0.7500
Se1 0.0000 0.0000 0.2575
Se2 0.0000 0.5000 0.0043
```

Main lines, sorted by position (2θ = 10–80°):
(1 0 1), 16.9 deg, intensity 6; (1 1 2), 26.3 deg, intensity 22; (2 0 0), 30.4 deg, intensity 100; (2 2 0), 43.6 deg, intensity 75; (1 1 6), 51.6 deg, intensity 12; (2 2 4), 54.1 deg, intensity 26; (4 0 0), 63.3 deg, intensity 12; (3 1 6), 69.8 deg, intensity 5; (4 2 0), 71.9 deg, intensity 34; (2 2 8), 80.0 deg, intensity 8

***

Diffraction record for SrZn3Ir. The powder diffractogram is computed, not measured: it uses a PBE-relaxed structure and Cu Kα (weighted mean of Kα1 and Kα2).
Peak positions follow from Bragg's law for the DFT cell and can differ from measured ones.

```
data_SrZn3Ir
_symmetry_space_group_name_H-M 'P 4/n m m'
_symmetry_Int_Tables_number 129
_cell_length_a 6.4873
_cell_length_b 6.4873
_cell_length_c 5.0810
_cell_angle_alpha 90.00
_cell_angle_beta 90.00
_cell_angle_gamma 90.00
loop_
_symmetry_equiv_pos_as_xyz
'x,y,z'
'-x,-y,-z'
'-y+1/2,x,z'
'y+1/2,-x,-z'
'-x+1/2,-y+1/2,z'
'x+1/2,y+1/2,-z'
'y,-x+1/2,z'
'-y,x+1/2,-z'
'x+1/2,-y,-z'
'-x+1/2,y,z'
'-y,-x,-z'
'y,x,z'
'-x,y+1/2,-z'
'x,-y+1/2,z'
'y+1/2,x+1/2,-z'
'-y+1/2,-x+1/2,z'
loop_
_atom_site_label
_atom_site_fract_x
_atom_site_fract_y
_atom_site_fract_z
Sr1 0.2500 0.7500 0.0000
Zn1 0.0000 0.0000 0.5000
Zn2 0.2500 0.2500 0.1761
Ir1 0.2500 0.2500 0.6879
```

Main lines, sorted by position (2θ = 10–80°):
(1 1 0), 19.3 deg, intensity 73; (1 0 1), 22.2 deg, intensity 43; (1 1 1), 26.2 deg, intensity 40; (2 0 0), 27.5 deg, intensity 45; (2 0 1), 32.8 deg, intensity 50; (2 2 0), 39.3 deg, intensity 100; (1 1 2), 40.6 deg, intensity 53; (2 1 2), 47.6 deg, intensity 35; (4 0 0), 56.8 deg, intensity 33; (3 1 2), 57.8 deg, intensity 38

***

Diffraction record for AcTbPr2Er. The powder diffractogram is computed, not measured: it uses a PBE-relaxed structure and Cu Kα (weighted mean of Kα1 and Kα2).
Peak positions follow from Bragg's law for the DFT cell and can differ from measured ones.

```
data_AcTbPr2Er
_symmetry_space_group_name_H-M 'P 1 21/m 1'
_symmetry_Int_Tables_number 11
_cell_length_a 6.4788
_cell_length_b 5.9402
_cell_length_c 9.9051
_cell_angle_alpha 90.00
_cell_angle_beta 108.85
_cell_angle_gamma 90.00
loop_
_symmetry_equiv_pos_as_xyz
'x,y,z'
'-x,-y,-z'
'-x,y+1/2,-z'
'x,-y+1/2,z'
loop_
_atom_site_label
_atom_site_fract_x
_atom_site_fract_y
_atom_site_fract_z
Ac1 0.1368 0.2500 0.1048
Tb1 0.4759 0.7500 0.1045
Pr1 0.2666 0.7500 0.7003
Pr2 0.3380 0.2500 0.5020
Er1 0.0640 0.7500 0.3075
```

Main lines, sorted by position (2θ = 10–80°):
(1 0 2), 27.4 deg, intensity 8; (1 0 -3), 27.5 deg, intensity 16; (0 2 0), 30.1 deg, intensity 25; (2 1 -1), 31.4 deg, intensity 100; (1 2 -3), 41.2 deg, intensity 16; (3 0 1), 48.6 deg, intensity 13; (2 3 -1), 54.3 deg, intensity 22; (3 2 1), 58.2 deg, intensity 15; (3 2 -4), 58.4 deg, intensity 8; (2 1 -6), 59.1 deg, intensity 11

***

Diffraction record for Hf5Ni2Pt. The powder diffractogram is computed, not measured: it uses a PBE-relaxed structure and Cu Kα (weighted mean of Kα1 and Kα2).
Peak positions follow from Bragg's law for the DFT cell and can differ from measured ones.

```
data_Hf5Ni2Pt
_symmetry_space_group_name_H-M 'C 1 2/m 1'
_symmetry_Int_Tables_number 12
_cell_length_a 9.2836
_cell_length_b 13.6105
_cell_length_c 6.4011
_cell_angle_alpha 90.00
_cell_angle_beta 133.21
_cell_angle_gamma 90.00
loop_
_symmetry_equiv_pos_as_xyz
'x,y,z'
'-x,-y,-z'
'-x,y,-z'
'x,-y,z'
'x+1/2,y+1/2,z'
'-x+1/2,-y+1/2,-z'
'-x+1/2,y+1/2,-z'
'x+1/2,-y+1/2,z'
loop_
_atom_site_label
_atom_site_fract_x
_atom_site_fract_y
_atom_site_fract_z
Hf1 0.0000 0.0000 0.0000
Hf2 0.0000 0.5000 0.0000
Hf3 0.1668 0.1486 0.8318
Hf4 0.1676 0.3512 0.5021
Ni1 0.1354 0.0000 0.5069
Ni2 0.1346 0.5000 0.7615
Pt1 0.0000 0.2505 0.0000
```

Main lines, sorted by position (2θ = 10–80°):
(2 4 -1), 32.6 deg, intensity 100; (1 3 1), 35.9 deg, intensity 64; (3 3 -1), 36.0 deg, intensity 65; (1 3 -2), 36.8 deg, intensity 64; (3 3 -2), 36.9 deg, intensity 63; (2 4 0), 37.5 deg, intensity 70; (2 4 -2), 38.6 deg, intensity 86; (2 0 1), 42.4 deg, intensity 38; (4 0 -1), 42.6 deg, intensity 37; (2 0 -3), 44.4 deg, intensity 42

***

Diffraction record for TbY2Er9. The powder diffractogram is computed, not measured: it uses a PBE-relaxed structure and Cu Kα (weighted mean of Kα1 and Kα2).
Peak positions follow from Bragg's law for the DFT cell and can differ from measured ones.

```
data_TbY2Er9
_symmetry_space_group_name_H-M 'P 6/m m m'
_symmetry_Int_Tables_number 191
_symmetry_space_group_name_Hall '-P 6 2'
_cell_length_a 11.1445
_cell_length_b 11.1445
_cell_length_c 3.4711
_cell_angle_alpha 90.00
_cell_angle_beta 90.00
_cell_angle_gamma 120.00
loop_
_atom_site_label
_atom_site_fract_x
_atom_site_fract_y
_atom_site_fract_z
Tb1 0.0000 0.0000 0.0000
Y1 0.3333 0.6667 0.0000
Er1 0.0000 0.5000 0.0000
Er2 0.1761 0.3523 0.5000
```

Main lines, sorted by position (2θ = 10–80°):
(1 1 1), 30.3 deg, intensity 18; (2 0 1), 31.8 deg, intensity 72; (2 2 0), 32.1 deg, intensity 100; (2 1 1), 35.7 deg, intensity 15; (3 0 1), 38.1 deg, intensity 10; (4 0 1), 45.8 deg, intensity 25; (4 2 1), 57.0 deg, intensity 26; (6 0 0), 57.3 deg, intensity 18; (2 2 2), 63.1 deg, intensity 29; (4 4 0), 67.2 deg, intensity 10

***

Diffraction record for RbZnIn3. The powder diffractogram is computed, not measured: it uses a PBE-relaxed structure and Cu Kα (weighted mean of Kα1 and Kα2).
Peak positions follow from Bragg's law for the DFT cell and can differ from measured ones.

```
data_RbZnIn3
_symmetry_space_group_name_H-M 'C 1 m 1'
_symmetry_Int_Tables_number 8
_cell_length_a 6.9234
_cell_length_b 6.9505
_cell_length_c 7.0696
_cell_angle_alpha 90.00
_cell_angle_beta 119.16
_cell_angle_gamma 90.00
loop_
_symmetry_equiv_pos_as_xyz
'x,y,z'
'x,-y,z'
'x+1/2,y+1/2,z'
'x+1/2,-y+1/2,z'
loop_
_atom_site_label
_atom_site_fract_x
_atom_site_fract_y
_atom_site_fract_z
Rb1 0.0000 0.0000 0.0000
Zn1 0.3815 0.0000 0.7640
In1 0.0098 0.2493 0.5197
In2 0.1096 0.5000 0.2186
```

Main lines, sorted by position (2θ = 10–80°):
(0 0 1), 14.3 deg, intensity 20; (1 1 -2), 28.3 deg, intensity 43; (0 2 1), 29.5 deg, intensity 100; (2 0 -2), 29.6 deg, intensity 33; (2 2 -1), 36.6 deg, intensity 76; (2 0 1), 39.0 deg, intensity 38; (1 1 2), 40.9 deg, intensity 29; (1 3 1), 46.9 deg, intensity 16; (1 3 -3), 56.0 deg, intensity 17; (2 4 -2), 61.6 deg, intensity 16

***

What did the sixth record say?
Diffraction record for Hf5Ni2Pt. The powder diffractogram is computed, not measured: it uses a PBE-relaxed structure and Cu Kα (weighted mean of Kα1 and Kα2).
Peak positions follow from Bragg's law for the DFT cell and can differ from measured ones.

```
data_Hf5Ni2Pt
_symmetry_space_group_name_H-M 'C 1 2/m 1'
_symmetry_Int_Tables_number 12
_cell_length_a 9.2836
_cell_length_b 13.6105
_cell_length_c 6.4011
_cell_angle_alpha 90.00
_cell_angle_beta 133.21
_cell_angle_gamma 90.00
loop_
_symmetry_equiv_pos_as_xyz
'x,y,z'
'-x,-y,-z'
'-x,y,-z'
'x,-y,z'
'x+1/2,y+1/2,z'
'-x+1/2,-y+1/2,-z'
'-x+1/2,y+1/2,-z'
'x+1/2,-y+1/2,z'
loop_
_atom_site_label
_atom_site_fract_x
_atom_site_fract_y
_atom_site_fract_z
Hf1 0.0000 0.0000 0.0000
Hf2 0.0000 0.5000 0.0000
Hf3 0.1668 0.1486 0.8318
Hf4 0.1676 0.3512 0.5021
Ni1 0.1354 0.0000 0.5069
Ni2 0.1346 0.5000 0.7615
Pt1 0.0000 0.2505 0.0000
```

Main lines, sorted by position (2θ = 10–80°):
(2 4 -1), 32.6 deg, intensity 100; (1 3 1), 35.9 deg, intensity 64; (3 3 -1), 36.0 deg, intensity 65; (1 3 -2), 36.8 deg, intensity 64; (3 3 -2), 36.9 deg, intensity 63; (2 4 0), 37.5 deg, intensity 70; (2 4 -2), 38.6 deg, intensity 86; (2 0 1), 42.4 deg, intensity 38; (4 0 -1), 42.6 deg, intensity 37; (2 0 -3), 44.4 deg, intensity 42